[1]
The following is a calculated powder X-ray diffraction pattern of Th3Co4Sn13. It was derived from DFT lattice parameters and positions (GGA-PBE), using CuKα.

Crystal structure
```
data_Th3Co4Sn13
_chemical_formula_sum 'Th6 Co8 Sn26'
_cell_length_a 9.644
_cell_length_b 9.644
_cell_length_c 9.644
_cell_angle_alpha 90.00
_cell_angle_beta 90.00
_cell_angle_gamma 90.00
_space_group_name_H-M_alt 'P m -3 n'
_space_group_IT_number 223
_space_group_name_Hall '-P 4n 2 3'
loop_
_atom_site_label
_atom_site_type_symbol
_atom_site_fract_x
_atom_site_fract_y
_atom_site_fract_z
Th1 Th 0.000 0.250 0.500
Co1 Co 0.250 0.250 0.250
Sn1 Sn 0.000 0.000 0.000
Sn2 Sn 0.000 0.304 0.156
```

Principal peaks in the range 5° ≤ 2θ ≤ 70°, by angle:
2θ = 20.59°, 4.313 Å, rel. 8, (2 1 0); 2θ = 33.50°, 2.675 Å, rel. 100, (3 2 0); 2θ = 34.81°, 2.578 Å, rel. 38, (3 2 1); 2θ = 37.29°, 2.411 Å, rel. 20, (4 0 0); 2θ = 38.49°, 2.339 Å, rel. 10, (4 1 0); 2θ = 50.99°, 1.791 Å, rel. 9, (4 3 2); 2θ = 55.56°, 1.654 Å, rel. 13, (4 3 3); 2θ = 59.04°, 1.565 Å, rel. 17, (5 3 2); 2θ = 64.04°, 1.454 Å, rel. 12, (6 2 2); 2θ = 64.85°, 1.438 Å, rel. 7, (6 3 0); 2θ = 65.66°, 1.422 Å, rel. 7, (6 3 1); 2θ = 68.05°, 1.378 Å, rel. 8, (6 3 2)



[2]
The following is a calculated powder X-ray diffraction pattern of Tb2Al3Pt. It was derived from DFT lattice parameters and positions (GGA-PBE), using CuKα.

Crystal structure
```
data_Tb2Al3Pt
_chemical_formula_sum 'Tb6 Al9 Pt3'
_cell_length_a 5.5504
_cell_length_b 5.5504
_cell_length_c 13.1862
_cell_angle_alpha 90.00
_cell_angle_beta 90.00
_cell_angle_gamma 120.00
_space_group_name_H-M_alt 'R -3 m'
_space_group_IT_number 166
_space_group_name_Hall '-R 3 2"'
loop_
_atom_site_label
_atom_site_type_symbol
_atom_site_fract_x
_atom_site_fract_y
_atom_site_fract_z
Tb1 Tb 0.0000 0.0000 0.1250
Al1 Al 0.0000 0.5000 0.0000
Pt1 Pt 0.0000 0.0000 0.5000
```

Principal peaks in the range 5° ≤ 2θ ≤ 70°, by angle:
2θ = 20.20°, 4.395 Å, rel. 47, (0 0 3); 2θ = 22.90°, 3.884 Å, rel. 26, (0 1 2); 2θ = 32.26°, 2.775 Å, rel. 94, (1 1 0); 2θ = 38.36°, 2.347 Å, rel. 100, (1 1 3); 2θ = 38.95°, 2.312 Å, rel. 48, (0 1 5); 2θ = 39.93°, 2.258 Å, rel. 17, (2 0 2); 2θ = 57.52°, 1.602 Å, rel. 18, (3 0 0); 2θ = 59.27°, 1.559 Å, rel. 17, (0 1 8); 2θ = 61.61°, 1.505 Å, rel. 25, (3 0 3); 2θ = 62.03°, 1.496 Å, rel. 25, (1 2 5); 2θ = 67.50°, 1.388 Å, rel. 17, (2 2 0); 2θ = 69.10°, 1.359 Å, rel. 16, (2 0 8)



[3]
The following is a calculated powder X-ray diffraction pattern of Ca2TiAlSi2O9F. It was derived from DFT lattice parameters and positions (GGA-PBE), using CuKα.

Crystal structure
```
data_Ca2TiAlSi2O9F
_chemical_formula_sum 'Ca4 Ti2 Al2 Si4 O18 F2'
_cell_length_a 5.445
_cell_length_b 7.091
_cell_length_c 10.419
_cell_angle_alpha 106.50
_cell_angle_beta 94.11
_cell_angle_gamma 104.58
_space_group_name_H-M_alt 'P -1'
_space_group_IT_number 2
loop_
_space_group_symop_operation_xyz
'x,y,z'
'-x,-y,-z'
loop_
_atom_site_label
_atom_site_type_symbol
_atom_site_fract_x
_atom_site_fract_y
_atom_site_fract_z
Ca1 Ca 0.002 0.416 0.165
Ca2 Ca 0.496 0.916 0.668
Ti1 Ti 0.000 0.000 0.500
Ti2 Ti 0.000 0.500 0.500
Al1 Al 0.500 0.000 0.000
Al2 Al 0.500 0.500 0.000
Si1 Si 0.027 0.093 0.848
Si2 Si 0.476 0.410 0.665
O1 O 0.056 0.905 0.308
O2 O 0.107 0.784 0.533
O3 O 0.146 0.335 0.948
O4 O 0.239 0.962 0.852
O5 O 0.251 0.021 0.117
O6 O 0.254 0.463 0.372
O7 O 0.267 0.541 0.660
O8 O 0.372 0.174 0.559
O9 O 0.441 0.591 0.181
F1 F 0.400 0.715 0.964
```

Principal peaks in the range 5° ≤ 2θ ≤ 70°, by angle:
2θ = 27.38°, 3.258 Å, rel. 100, (1 -2 1); 2θ = 29.80°, 2.998 Å, rel. 76, (1 0 -3); 2θ = 34.44°, 2.604 Å, rel. 62, (2 0 0); 2θ = 34.68°, 2.587 Å, rel. 39, (1 2 -1); 2θ = 39.60°, 2.276 Å, rel. 37, (2 1 -1); 2θ = 43.44°, 2.083 Å, rel. 14, (-2 2 2); 2θ = 52.04°, 1.757 Å, rel. 18, (1 -4 1); 2θ = 54.02°, 1.697 Å, rel. 18, (2 2 -4); 2θ = 55.89°, 1.645 Å, rel. 14, (0 0 6); 2θ = 59.41°, 1.556 Å, rel. 15, (2 2 2); 2θ = 61.99°, 1.497 Å, rel. 22, (1 4 -1); 2θ = 64.93°, 1.436 Å, rel. 15, (-2 4 2)



[4]
The following is a calculated powder X-ray diffraction pattern of Ba8Fe3N8. It was derived from DFT lattice parameters and positions (GGA-PBE), using CuKα.

Crystal structure
```
data_Ba8Fe3N8
_chemical_formula_sum 'Ba16 Fe6 N16'
_cell_length_a 19.761
_cell_length_b 5.710
_cell_length_c 7.912
_cell_angle_alpha 90.00
_cell_angle_beta 106.07
_cell_angle_gamma 90.00
_space_group_name_H-M_alt 'C 1 2/m 1'
_space_group_IT_number 12
loop_
_space_group_symop_operation_xyz
'x,y,z'
'-x,-y,-z'
'-x,y,-z'
'x,-y,z'
'x+1/2,y+1/2,z'
'-x+1/2,-y+1/2,-z'
'-x+1/2,y+1/2,-z'
'x+1/2,-y+1/2,z'
loop_
_atom_site_label
_atom_site_type_symbol
_atom_site_fract_x
_atom_site_fract_y
_atom_site_fract_z
Ba1 Ba 0.028 0.000 0.269
Ba2 Ba 0.102 0.500 0.948
Ba3 Ba 0.168 0.500 0.472
Ba4 Ba 0.203 0.000 0.805
Fe1 Fe 0.000 0.500 0.500
Fe2 Fe 0.186 0.000 0.200
N1 N 0.021 0.500 0.302
N2 N 0.109 0.000 0.021
N3 N 0.179 0.000 0.413
N4 N 0.230 0.500 0.835
```

Principal peaks in the range 5° ≤ 2θ ≤ 70°, by angle:
2θ = 25.65°, 3.473 Å, rel. 22, (4 0 -2); 2θ = 25.89°, 3.442 Å, rel. 46, (3 1 1); 2θ = 27.50°, 3.243 Å, rel. 56, (1 1 -2); 2θ = 27.95°, 3.192 Å, rel. 62, (5 1 -1); 2θ = 28.22°, 3.163 Å, rel. 55, (5 1 0); 2θ = 28.48°, 3.134 Å, rel. 30, (3 1 -2); 2θ = 29.67°, 3.011 Å, rel. 65, (1 1 2); 2θ = 31.33°, 2.855 Å, rel. 100, (0 2 0); 2θ = 32.39°, 2.764 Å, rel. 31, (5 1 -2); 2θ = 47.86°, 1.900 Å, rel. 22, (0 0 4); 2θ = 48.76°, 1.868 Å, rel. 23, (8 2 -1); 2θ = 50.60°, 1.804 Å, rel. 28, (9 1 -3)



[5]
The following is a calculated powder X-ray diffraction pattern of CeTh9O20. It was derived from DFT lattice parameters and positions (GGA-PBE), using CuKα.

Crystal structure
```
data_CeTh9O20
_chemical_formula_sum 'Ce1 Th9 O20'
_cell_length_a 6.864
_cell_length_b 7.924
_cell_length_c 8.859
_cell_angle_alpha 102.92
_cell_angle_beta 97.42
_cell_angle_gamma 106.77
_space_group_name_H-M_alt 'P -1'
_space_group_IT_number 2
loop_
_space_group_symop_operation_xyz
'x,y,z'
'-x,-y,-z'
loop_
_atom_site_label
_atom_site_type_symbol
_atom_site_fract_x
_atom_site_fract_y
_atom_site_fract_z
Ce1 Ce 0.000 0.000 0.000
Th1 Th 0.000 0.500 0.000
Th2 Th 0.199 0.399 0.399
Th3 Th 0.199 0.900 0.399
Th4 Th 0.399 0.299 0.800
Th5 Th 0.400 0.801 0.801
O1 O 0.050 0.223 0.851
O2 O 0.050 0.728 0.852
O3 O 0.150 0.175 0.550
O4 O 0.150 0.675 0.550
O5 O 0.248 0.124 0.247
O6 O 0.249 0.625 0.250
O7 O 0.347 0.074 0.951
O8 O 0.350 0.575 0.950
O9 O 0.450 0.025 0.650
O10 O 0.450 0.525 0.650
```

Principal peaks in the range 5° ≤ 2θ ≤ 70°, by angle:
2θ = 27.57°, 3.235 Å, rel. 100, (1 0 2); 2θ = 31.94°, 2.802 Å, rel. 36, (1 2 0); 2θ = 45.80°, 1.981 Å, rel. 51, (3 0 1); 2θ = 54.30°, 1.690 Å, rel. 48, (2 2 2); 2θ = 56.92°, 1.618 Å, rel. 11, (2 0 4); 2θ = 66.78°, 1.401 Å, rel. 8, (2 4 0)



[6]
The following is a calculated powder X-ray diffraction pattern of Pr3ReO8. It was derived from DFT lattice parameters and positions (GGA-PBE), using CuKα.

Crystal structure
```
data_Pr3ReO8
_chemical_formula_sum 'Pr12 Re4 O32'
_cell_length_a 7.569
_cell_length_b 6.241
_cell_length_c 15.147
_cell_angle_alpha 90.00
_cell_angle_beta 110.74
_cell_angle_gamma 90.00
_space_group_name_H-M_alt 'P 1 21/c 1'
_space_group_IT_number 14
loop_
_space_group_symop_operation_xyz
'x,y,z'
'-x,-y,-z'
'-x,y+1/2,-z+1/2'
'x,-y+1/2,z+1/2'
loop_
_atom_site_label
_atom_site_type_symbol
_atom_site_fract_x
_atom_site_fract_y
_atom_site_fract_z
Pr1 Pr 0.097 0.237 0.201
Pr2 Pr 0.161 0.202 0.446
Pr3 Pr 0.396 0.688 0.333
Re1 Re 0.321 0.745 0.091
O1 O 0.095 0.700 0.984
O2 O 0.147 0.030 0.839
O3 O 0.171 0.654 0.168
O4 O 0.183 0.530 0.827
O5 O 0.253 0.040 0.096
O6 O 0.375 0.047 0.590
O7 O 0.471 0.699 0.522
O8 O 0.474 0.206 0.792
```

Principal peaks in the range 5° ≤ 2θ ≤ 70°, by angle:
2θ = 23.79°, 3.740 Å, rel. 12, (1 0 -4); 2θ = 27.81°, 3.208 Å, rel. 21, (1 1 -4); 2θ = 28.62°, 3.119 Å, rel. 46, (0 2 0); 2θ = 29.00°, 3.079 Å, rel. 100, (2 1 0); 2θ = 40.93°, 2.205 Å, rel. 13, (2 2 -4); 2θ = 42.00°, 2.151 Å, rel. 14, (2 0 4); 2θ = 48.38°, 1.881 Å, rel. 11, (1 0 -8); 2θ = 50.93°, 1.793 Å, rel. 19, (0 3 4); 2θ = 51.61°, 1.771 Å, rel. 17, (2 2 4); 2θ = 54.67°, 1.679 Å, rel. 11, (3 1 -8); 2θ = 57.18°, 1.611 Å, rel. 8, (1 2 -8); 2θ = 60.06°, 1.540 Å, rel. 11, (1 1 8)